The following is a computed PXRD pattern of Ce2Pr2HoRh5. It was derived from a crystal structure in Alexandria, relaxed with GGA-PBE, using Cu Kα X-rays.
Peak positions follow from Bragg's law for the DFT cell and can differ from measured ones.

The 10 most intense peaks (2θ from 10° to 90°), by angle:
2θ (°)	Rel. int.	hkl
25.6	12	3 1 0
33.6	19	4 1 0
34.0	19	2 2 1
34.6	23	3 3 0
35.9	100	3 1 1
36.6	15	4 2 0
38.7	16	3 2 1
41.3	12	4 0 1
49.8	10	6 0 0
50.7	15	0 0 2

Structure:
a = 10.987 Å, b = 10.987 Å, c = 3.600 Å
α = 90.00°, β = 90.00°, γ = 90.00°
Sites, in units of the cell vectors:
Ce (0.142, 0.358, 0.000)
Ce (0.358, 0.858, 0.000)
Ce (0.642, 0.142, 0.000)
Ce (0.858, 0.642, 0.000)
Pr (0.168, 0.668, 0.000)
Pr (0.332, 0.168, 0.000)
Pr (0.668, 0.832, 0.000)
Pr (0.832, 0.332, 0.000)
Ho (0.000, 0.000, 0.000)
Ho (0.500, 0.500, 0.000)
Rh (0.000, 0.500, 0.500)
Rh (0.055, 0.196, 0.500)
Rh (0.196, 0.945, 0.500)
Rh (0.304, 0.445, 0.500)
Rh (0.445, 0.696, 0.500)
Rh (0.500, 0.000, 0.500)
Rh (0.555, 0.304, 0.500)
Rh (0.696, 0.555, 0.500)
Rh (0.804, 0.055, 0.500)
Rh (0.945, 0.804, 0.500)